# 1
Structure and calculated PXRD pattern of LuThCu4 (the GGA-PBE geometry in Alexandria; Cu Kα, 1.54184 Å).

```
LuThCu4
1.0
0.0000 3.7356 3.7356
3.7356 0.0000 3.7356
3.7356 3.7356 0.0000
Lu Th Cu
1 1 4
direct
0.0000 0.0000 0.0000
0.7500 0.7500 0.7500
0.3741 0.3741 0.3741
0.3741 0.3741 0.8776
0.3741 0.8776 0.3741
0.8776 0.3741 0.3741
```

Main lines, low angle first (2θ from 10° to 80°):
d_spacing  I_rel
4.314  21
2.642  70
2.253  100
1.525  27
1.438  32
1.321  22

---

# 2
Structure and calculated PXRD pattern of Sc5GaAg4 (the GGA-PBE geometry in Alexandria; Cu Kα, 1.54184 Å).

```
Sc5GaAg4
1.0
3.4052 0.0000 0.0000
0.0000 3.4052 0.0000
0.0000 0.0000 17.2323
Sc Ga Ag
5 1 4
direct
0.0000 0.0000 0.0000
0.0000 0.0000 0.2022
0.0000 0.0000 0.4035
0.0000 0.0000 0.5965
0.0000 0.0000 0.7978
0.5000 0.5000 0.5000
0.5000 0.5000 0.0999
0.5000 0.5000 0.3037
0.5000 0.5000 0.6963
0.5000 0.5000 0.9001
```

Main lines, low angle first (2θ from 10° to 80°):
d_spacing  I_rel
3.405  20
2.422  100
2.408  49
1.703  16
1.401  16
1.393  31

---

# 3
Structure and calculated PXRD pattern of Tb4Nd7Er (the GGA-PBE geometry in Alexandria; Cu Kα, 1.54184 Å).

```
Tb4Nd7Er
1.0
8.1260 -3.0087 0.0000
8.1260 3.0087 0.0000
-4.1233 0.0000 8.4642
Tb Nd Er
4 7 1
direct
0.0720 0.0720 0.1974
0.1726 0.1726 0.8890
0.8274 0.8274 0.1110
0.9280 0.9280 0.8026
0.0000 0.0000 0.5000
0.2914 0.2914 0.2706
0.2906 0.2906 0.6206
0.4170 0.4170 0.0577
0.5830 0.5830 0.9423
0.7094 0.7094 0.3794
0.7086 0.7086 0.7294
0.5000 0.5000 0.5000
```

Main lines, low angle first (2θ from 10° to 80°):
d_spacing  I_rel
3.131  42
3.009  100
2.920  37
2.848  57
2.776  67
2.705  60

---

# 4
Structure and calculated PXRD pattern of Sc2InBr6 (the GGA-PBE geometry in Alexandria; Cu Kα, 1.54184 Å).

```
Sc2InBr6
1.0
6.8933 0.0000 0.0000
-3.4466 5.9698 0.0000
0.0000 0.0000 7.5569
Sc In Br
2 1 6
direct
0.3333 0.6667 0.0000
0.6667 0.3333 0.0000
0.0000 0.0000 0.5000
0.0000 0.3615 0.2088
0.0000 0.6385 0.7912
0.3615 0.0000 0.2088
0.3615 0.3615 0.7912
0.6385 0.0000 0.7912
0.6385 0.6385 0.2088
```

Main lines, low angle first (2θ from 10° to 80°):
d_spacing  I_rel
4.684  50
3.136  100
2.546  72
2.034  18
1.990  34
1.680  19

---

# 5
Structure and calculated PXRD pattern of Rb2ZrSe (the GGA-PBE geometry in Alexandria; Cu Kα, 1.54184 Å).

```
Rb2ZrSe
1.0
-6.4584 6.4584 2.6015
6.4584 -6.4584 2.6015
6.4584 6.4584 -2.6015
Rb Zr Se
4 2 2
direct
0.3750 0.2167 0.3417
0.7833 0.1250 0.1583
0.8750 0.0333 0.6583
0.9667 0.6250 0.8417
0.2500 0.7500 0.5000
0.5000 0.5000 0.0000
0.0000 0.0000 0.0000
0.7500 0.2500 0.5000
```

Main lines, low angle first (2θ from 10° to 80°):
d_spacing  I_rel
6.458  76
4.085  61
3.866  79
3.229  39
2.888  100
2.194  40

---

# 6
Structure and calculated PXRD pattern of La2Sm3Tm (the GGA-PBE geometry in Alexandria; Cu Kα, 1.54184 Å).

```
La2Sm3Tm
1.0
7.1323 0.0000 0.0000
0.0000 9.9760 0.0000
0.0000 0.0000 5.7521
La Sm Tm
4 6 2
direct
0.2479 0.1671 0.0000
0.2521 0.6671 0.5000
0.7479 0.3329 0.5000
0.7521 0.8329 0.0000
0.0000 0.5000 0.0000
0.2493 0.3322 0.5000
0.2507 0.8322 0.0000
0.5000 0.0000 0.5000
0.7493 0.1678 0.0000
0.7507 0.6678 0.5000
0.0000 0.0000 0.5000
0.5000 0.5000 0.0000
```

Main lines, low angle first (2θ from 10° to 80°):
d_spacing  I_rel
2.900  94
2.878  100
2.043  35
1.666  37
1.662  20
1.516  29

---

# 7
Structure and calculated PXRD pattern of MgSc2InAu4 (the GGA-PBE geometry in Alexandria; Cu Kα, 1.54184 Å).

```
MgSc2InAu4
1.0
2.3824 1.3755 7.8100
-2.3824 1.3755 7.8100
0.0000 -2.7509 7.8100
Mg Sc In Au
1 2 1 4
direct
0.0000 0.0000 0.0000
0.2479 0.2479 0.2479
0.7521 0.7521 0.7521
0.5000 0.5000 0.5000
0.1200 0.1200 0.1200
0.3704 0.3704 0.3704
0.6296 0.6296 0.6296
0.8800 0.8800 0.8800
```

Main lines, low angle first (2θ from 10° to 80°):
d_spacing  I_rel
3.373  37
2.385  100
1.946  8
1.687  17
1.507  8
1.376  26

---

# 8
Structure and calculated PXRD pattern of UReSi (the GGA-PBE geometry in Alexandria; Cu Kα, 1.54184 Å).

```
UReSi
1.0
-2.5055 2.7629 3.6556
2.5055 -2.7629 3.6556
2.5055 2.7629 -3.6556
U Re Si
2 2 2
direct
0.3943 0.1443 0.2500
0.6057 0.8557 0.7500
0.0000 0.5000 0.5000
0.5000 0.5000 0.0000
0.0000 0.0000 0.5000
0.0000 0.5000 0.0000
```

Main lines, low angle first (2θ from 10° to 80°):
d_spacing  I_rel
4.408  55
2.605  66
2.505  44
2.297  100
2.192  64
2.178  35

---

# 9
Structure and calculated PXRD pattern of MnIn2I6 (the GGA-PBE geometry in Alexandria; Cu Kα, 1.54184 Å).

```
MnIn2I6
1.0
3.7609 2.1713 7.8955
-3.7609 2.1713 7.8955
0.0000 -4.3427 7.8955
Mn In I
1 2 6
direct
0.0000 0.0000 0.0000
0.3324 0.3324 0.3324
0.5090 0.5090 0.5090
0.0851 0.3808 0.7400
0.2187 0.9604 0.5999
0.3808 0.7400 0.0851
0.5999 0.2187 0.9604
0.7400 0.0851 0.3808
0.9604 0.5999 0.2187
```

Main lines, low angle first (2θ from 10° to 80°):
d_spacing  I_rel
7.896  17
5.708  16
3.395  100
2.723  66
2.171  36
2.156  25

---

# 10
Structure and calculated PXRD pattern of Ta4TlBr (the GGA-PBE geometry in Alexandria; Cu Kα, 1.54184 Å).

```
Ta4TlBr
1.0
0.0000 3.9846 3.9846
3.9846 0.0000 3.9846
3.9846 3.9846 0.0000
Ta Tl Br
4 1 1
direct
0.1238 0.1238 0.1238
0.1238 0.1238 0.6285
0.1238 0.6285 0.1238
0.6285 0.1238 0.1238
0.7500 0.7500 0.7500
0.5000 0.5000 0.5000
```

Main lines, low angle first (2θ from 10° to 80°):
d_spacing  I_rel
2.818  19
2.403  100
2.301  49
1.534  33
1.409  30
1.201  19

---

# 11
Structure and calculated PXRD pattern of Ni3WC (the GGA-PBE geometry in Alexandria; Cu Kα, 1.54184 Å).

```
Ni3WC
1.0
3.8146 0.0000 0.0000
0.0000 3.8146 0.0000
0.0000 0.0000 3.8146
Ni W C
3 1 1
direct
0.0000 0.0000 0.5000
0.0000 0.5000 0.0000
0.5000 0.0000 0.0000
0.5000 0.5000 0.5000
0.0000 0.0000 0.0000
```

Main lines, low angle first (2θ from 10° to 80°):
d_spacing  I_rel
3.815  25
2.697  32
2.202  100
1.907  53
1.706  12
1.349  32

---

# 12
Structure and calculated PXRD pattern of ZrAsRh (the GGA-PBE geometry in Alexandria; Cu Kα, 1.54184 Å).

```
ZrAsRh
1.0
6.6801 0.0000 0.0000
0.0000 3.9524 0.0000
-0.0663 0.0000 11.4835
Zr As Rh
6 6 6
direct
0.0302 0.2500 0.2088
0.3393 0.7500 0.5787
0.4684 0.7500 0.8790
0.5316 0.2500 0.1210
0.6607 0.2500 0.4213
0.9698 0.7500 0.7912
0.2442 0.2500 0.4159
0.2438 0.7500 0.0831
0.2640 0.2500 0.7502
0.7360 0.7500 0.2498
0.7562 0.2500 0.9169
0.7558 0.7500 0.5841
0.0071 0.2500 0.5914
0.1457 0.2500 0.9586
0.3708 0.7500 0.2937
0.6292 0.2500 0.7063
0.8543 0.7500 0.0414
0.9929 0.7500 0.4086
```

Main lines, low angle first (2θ from 10° to 80°):
d_spacing  I_rel
2.548  100
2.539  49
2.335  37
2.325  92
2.183  32
1.976  56